This entry pairs a crystal structure of VRuRh4 with its simulated X-ray powder pattern. Radiation: Cu Kα. Structure: a cell relaxed with GGA-PBE.
Peak positions follow from Bragg's law for the DFT cell and can differ from measured ones.

Structural model:
Cell: 3.8248 11.4585 3.8169 Å, 90.00 90.00 90.00°
Fractional coordinates of all 12 atoms:
V 0.0000 0.0000 0.0000
V 0.5000 0.5000 0.0000
Ru 0.0000 0.5000 0.5000
Ru 0.5000 0.0000 0.5000
Rh 0.0000 0.1623 0.5000
Rh 0.0000 0.3387 0.0000
Rh 0.0000 0.6613 0.0000
Rh 0.0000 0.8377 0.5000
Rh 0.5000 0.1613 0.0000
Rh 0.5000 0.3377 0.5000
Rh 0.5000 0.6623 0.5000
Rh 0.5000 0.8387 0.0000

Largest 10 diffraction maxima, in order of rising 2θ, 2θ from 5° to 70°:
2θ = 24.54°, 3.628 Å, intensity 2, (1 1 0)
2θ = 28.09°, 3.177 Å, intensity 1, (0 2 1)
2θ = 31.22°, 2.865 Å, intensity 2, (0 4 0)
2θ = 34.09°, 2.630 Å, intensity 2, (1 1 1)
2θ = 40.91°, 2.206 Å, intensity 100, (1 3 1)
2θ = 47.58°, 1.911 Å, intensity 32, (2 0 0)
2θ = 47.65°, 1.908 Å, intensity 16, (0 0 2)
2θ = 58.03°, 1.589 Å, intensity 1, (2 4 0)
2θ = 66.82°, 1.400 Å, intensity 1, (1 7 1)
2θ = 69.60°, 1.351 Å, intensity 29, (2 0 2)